(1)
This entry pairs a crystal structure of Li4Cr3CuO8 with its calculated PXRD pattern. Radiation: a wavelength of 1.5418 Å. Structure: a DFT-relaxed cell (PBE+U, the Materials Project).
Neutral-atom scattering factors, no anomalous dispersion.

Main lines, by intensity (2θ = 15–90°):
Position (°2θ), d/Å, Rel. int.
18.36, 4.832, 100.0
43.25, 2.092, 78.7
35.59, 2.523, 42.4
62.82, 1.479, 42.4
37.22, 2.416, 17.5
57.20, 1.611, 16.1
66.06, 1.414, 14.3
47.35, 1.920, 13.7
79.33, 1.208, 12.6
75.34, 1.262, 8.7
82.27, 1.172, 7.4
74.34, 1.276, 4.0

Structure:
Cell: 5.918 5.918 5.918 Å, 59.98 59.98 59.98°
Sites, in units of the cell vectors:
1 Li 0.000 0.000 0.000
2 Li 0.000 0.500 0.500
3 Li 0.500 0.000 0.500
4 Li 0.500 0.500 0.000
5 Cr 0.000 0.000 0.500
6 Cr 0.000 0.500 0.000
7 Cr 0.500 0.000 0.000
8 Cu 0.500 0.500 0.500
9 O 0.239 0.743 0.743
10 O 0.242 0.242 0.242
11 O 0.257 0.257 0.761
12 O 0.257 0.761 0.257
13 O 0.743 0.239 0.743
14 O 0.743 0.743 0.239
15 O 0.758 0.758 0.758
16 O 0.761 0.257 0.257


(2)
This entry pairs a crystal structure of Li3V2Fe2O8 with its calculated PXRD pattern. Radiation: a wavelength of 1.5418 Å. Structure: a DFT-relaxed cell (PBE+U, the Materials Project).
Neutral-atom scattering factors, no anomalous dispersion.

Main lines, by intensity (2θ = 15–90°):
Position (°2θ), d/Å, Rel. int.
18.14, 4.890, 100.0
42.77, 2.114, 66.2
18.32, 4.843, 35.7
42.89, 2.108, 32.5
35.11, 2.556, 25.6
61.87, 1.500, 17.7
62.49, 1.486, 17.4
35.24, 2.546, 15.1
35.36, 2.538, 9.6
61.95, 1.498, 9.0
36.80, 2.442, 9.0
62.21, 1.492, 8.8

Structure:
Cell: 5.944 5.947 5.969 Å, 60.43 60.50 60.52°
Sites, in units of the cell vectors:
1 Li 0.000 0.000 0.000
2 Li 0.000 0.000 0.500
3 Li 0.000 0.500 0.000
4 V 0.500 0.000 0.500
5 V 0.500 0.500 0.500
6 Fe 0.000 0.500 0.500
7 Fe 0.500 0.500 0.000
8 O 0.254 0.260 0.269
9 O 0.258 0.721 0.265
10 O 0.268 0.733 0.746
11 O 0.271 0.269 0.715
12 O 0.729 0.731 0.285
13 O 0.732 0.267 0.254
14 O 0.742 0.279 0.735
15 O 0.746 0.740 0.731


(3)
This entry pairs a crystal structure of CaLa2FeO6 with its calculated PXRD pattern. Radiation: a wavelength of 1.5418 Å. Structure: a DFT-relaxed cell (PBE+U, the Materials Project).
Neutral-atom scattering factors, no anomalous dispersion.

Main lines, by intensity (2θ = 15–90°):
Position (°2θ), d/Å, Rel. int.
30.65, 2.917, 100.0
29.80, 2.998, 56.1
45.14, 2.008, 51.3
30.52, 2.929, 48.4
31.35, 2.854, 47.8
32.35, 2.767, 45.7
22.13, 4.017, 41.0
42.43, 2.130, 28.6
20.85, 4.261, 23.3
54.07, 1.696, 19.2
55.35, 1.660, 19.1
53.27, 1.720, 15.4

Structure:
Cell: 5.842 5.869 18.392 Å, 83.56 89.23 61.76°
Sites, in units of the cell vectors:
1 Ca 0.000 0.000 0.000
2 Ca 0.244 0.503 0.750
3 Ca 0.489 0.008 0.500
4 Ca 0.745 0.503 0.250
5 La 0.063 0.863 0.196
6 La 0.172 0.648 0.554
7 La 0.318 0.359 0.947
8 La 0.426 0.144 0.304
9 La 0.560 0.864 0.697
10 La 0.683 0.639 0.054
11 La 0.807 0.368 0.447
12 La 0.927 0.143 0.804
13 Fe 0.116 0.756 0.375
14 Fe 0.374 0.250 0.125
15 Fe 0.623 0.751 0.875
16 Fe 0.866 0.257 0.625
17 O 0.046 0.558 0.313
18 O 0.095 0.604 0.063
19 O 0.111 0.251 0.189
20 O 0.123 0.260 0.560
21 O 0.147 0.901 0.687
22 O 0.187 0.954 0.437
23 O 0.302 0.054 0.063
24 O 0.341 0.106 0.813
25 O 0.367 0.747 0.940
26 O 0.378 0.756 0.311
27 O 0.395 0.404 0.437
28 O 0.444 0.448 0.187
29 O 0.547 0.554 0.814
30 O 0.584 0.612 0.564
31 O 0.609 0.253 0.690
32 O 0.636 0.251 0.061
33 O 0.651 0.898 0.186
34 O 0.698 0.947 0.937
35 O 0.792 0.061 0.563
36 O 0.838 0.109 0.314
37 O 0.854 0.756 0.439
38 O 0.879 0.755 0.810
39 O 0.905 0.396 0.936
40 O 0.941 0.452 0.687


(4)
This entry pairs a crystal structure of RbMoP2O7 with its calculated PXRD pattern. Radiation: a wavelength of 1.5418 Å. Structure: a DFT-relaxed cell (PBE+U, the Materials Project).
Neutral-atom scattering factors, no anomalous dispersion.

Main lines, by intensity (2θ = 15–90°):
Position (°2θ), d/Å, Rel. int.
28.94, 3.085, 100.0
28.80, 3.100, 98.1
27.94, 3.193, 63.4
27.38, 3.257, 47.2
21.52, 4.130, 46.7
23.11, 3.848, 33.5
24.79, 3.591, 30.0
24.08, 3.696, 25.0
32.50, 2.755, 24.5
16.03, 5.530, 24.2
44.89, 2.019, 22.4
50.52, 1.807, 20.2

Structure:
Cell: 7.697 10.620 8.600 Å, 90.00 106.16 90.00°
Sites, in units of the cell vectors:
1 Rb 0.186 0.180 0.059
2 Rb 0.186 0.320 0.559
3 Rb 0.814 0.680 0.441
4 Rb 0.814 0.820 0.941
5 Mo 0.237 0.601 0.258
6 Mo 0.237 0.899 0.758
7 Mo 0.763 0.101 0.242
8 Mo 0.763 0.399 0.742
9 P 0.128 0.600 0.825
10 P 0.128 0.900 0.325
11 P 0.435 0.634 0.691
12 P 0.435 0.866 0.191
13 P 0.565 0.134 0.809
14 P 0.565 0.366 0.309
15 P 0.872 0.100 0.675
16 P 0.872 0.400 0.175
17 O 0.001 0.003 0.779
18 O 0.001 0.497 0.279
19 O 0.077 0.732 0.752
20 O 0.077 0.768 0.252
21 O 0.138 0.594 0.002
22 O 0.138 0.906 0.502
23 O 0.324 0.604 0.519
24 O 0.324 0.896 0.019
25 O 0.328 0.565 0.808
26 O 0.328 0.935 0.308
27 O 0.376 0.077 0.761
28 O 0.376 0.423 0.261
29 O 0.450 0.725 0.236
30 O 0.450 0.775 0.736
31 O 0.550 0.225 0.264
32 O 0.550 0.275 0.764
33 O 0.624 0.577 0.739
34 O 0.624 0.923 0.239
35 O 0.672 0.065 0.692
36 O 0.672 0.435 0.192
37 O 0.676 0.104 0.981
38 O 0.676 0.396 0.481
39 O 0.862 0.094 0.498
40 O 0.862 0.406 0.998
41 O 0.923 0.232 0.748
42 O 0.923 0.268 0.248
43 O 0.999 0.503 0.721
44 O 0.999 0.997 0.221